(1)
Theoretical X-ray diffraction stick pattern of Ta2Sb2S7 for Cu Kα, from a cell relaxed with PBE.
No peak broadening, texture or thermal motion is included.

Top 12 peaks for 2θ from 10° to 90°, sorted by position:
2θ/deg	I_rel
13.95	61
19.28	29
21.13	86
28.12	38
29.10	43
29.81	68
30.06	98
33.36	58
36.03	79
45.10	100
46.32	30
52.63	29

Structural model:
```
Ta2Sb2S7
1.0
-1.7384 6.6852 6.3470
1.7384 -6.6852 6.3470
1.7384 6.6852 -6.3470
Ta Sb S
2 2 7
Direct
0.0000 0.0000 0.0000 Ta
0.7658 0.2658 0.5000 Ta
0.0224 0.7211 0.3013 Sb
0.4198 0.7211 0.6987 Sb
0.0282 0.4137 0.6146 S
0.1509 0.6509 0.5000 S
0.2718 0.0788 0.1930 S
0.5749 0.6829 0.8920 S
0.7909 0.6829 0.1080 S
0.7991 0.4137 0.3854 S
0.8858 0.0788 0.8070 S
```

(2)
Theoretical X-ray diffraction stick pattern of TbSbS for Cu Kα, from a cell relaxed with PBE.
No peak broadening, texture or thermal motion is included.

Top 12 peaks for 2θ from 10° to 90°, sorted by position:
2θ/deg	I_rel
22.35	35
26.66	60
30.70	59
32.66	100
37.33	93
42.44	25
44.36	50
52.52	33
54.91	45
62.09	23
74.24	26
76.99	22

Structural model:
```
TbSbS
1.0
4.0844 0.0000 0.0000
0.0000 4.0844 0.0000
0.0000 0.0000 17.4717
Tb Sb S
4 4 4
Direct
0.0000 0.0000 0.1554 Tb
0.0000 0.0000 0.8446 Tb
0.5000 0.5000 0.3446 Tb
0.5000 0.5000 0.6554 Tb
0.0000 0.5000 0.0000 Sb
0.0000 0.5000 0.5000 Sb
0.5000 0.0000 0.0000 Sb
0.5000 0.0000 0.5000 Sb
0.0000 0.0000 0.3130 S
0.0000 0.0000 0.6870 S
0.5000 0.5000 0.1870 S
0.5000 0.5000 0.8130 S
```